Diffraction record for CaTb2PtO5. The powder diffractogram is theoretical, not measured: it uses the GGA-PBE geometry in Alexandria and Cu Kα, 1.54184 Å.

Principal peaks in the range 10° ≤ 2θ ≤ 80°, by intensity:
2θ = 31.45°, d = 2.845 Å, I = 100, hkl 2 0 1; 2θ = 19.28°, d = 4.604 Å, I = 52, hkl 1 1 0; 2θ = 34.40°, d = 2.607 Å, I = 52, hkl 2 1 1; 2θ = 30.55°, d = 2.926 Å, I = 42, hkl 0 0 2; 2θ = 46.77°, d = 1.942 Å, I = 41, hkl 3 1 1; 2θ = 43.87°, d = 2.064 Å, I = 39, hkl 2 1 2; 2θ = 39.13°, d = 2.302 Å, I = 22, hkl 2 2 0; 2θ = 54.87°, d = 1.673 Å, I = 21, hkl 2 0 3

Structure:
```
data_CaTb2PtO5
_chemical_formula_sum 'Ca2 Tb4 Pt2 O10'
_cell_length_a 6.5107
_cell_length_b 6.5107
_cell_length_c 5.8517
_cell_angle_alpha 90.00
_cell_angle_beta 90.00
_cell_angle_gamma 90.00
_symmetry_space_group_name_H-M 'P 4/m b m'
_symmetry_Int_Tables_number 127
_symmetry_space_group_name_Hall '-P 4 2ab'
loop_
_atom_site_label
_atom_site_type_symbol
_atom_site_fract_x
_atom_site_fract_y
_atom_site_fract_z
Ca1 Ca 0.0000 0.0000 0.0000
Tb1 Tb 0.1736 0.3264 0.5000
Pt1 Pt 0.0000 0.5000 0.0000
O1 O 0.0000 0.0000 0.5000
O2 O 0.1453 0.6453 0.2548
```